Diffraction record for LaNd3Sb2. The powder diffraction line list is theoretical, not measured: it uses a cell relaxed with PBE and copper Kα.
Peak positions follow from Bragg's law for the DFT cell and can differ from measured ones.

Atomic structure:
```
LaNd3Sb2
1.0
4.607 0.000 0.000
0.000 4.607 0.000
0.000 0.000 8.953
La Nd Sb
1 3 2
Direct
0.000 0.000 0.000 La
0.000 0.500 0.358 Nd
0.500 0.000 0.642 Nd
0.500 0.500 0.000 Nd
0.000 0.500 0.719 Sb
0.500 0.000 0.281 Sb
```

Principal peaks in the range 2θ from 15° to 90°, in order of falling intensity:
(1 1 1), 29.2 deg, intensity 100; (1 1 2), 34.0 deg, intensity 82; (2 0 0), 39.1 deg, intensity 58; (0 0 3), 29.9 deg, intensity 41; (2 0 3), 50.0 deg, intensity 39; (1 0 3), 35.9 deg, intensity 24

=====

Diffraction record for LaNd3Sb. The powder diffraction line list is theoretical, not measured: it uses a cell relaxed with PBE and copper Kα.
Peak positions follow from Bragg's law for the DFT cell and can differ from measured ones.

Atomic structure:
```
LaNd3Sb
1.0
11.158 0.000 0.000
0.000 4.098 0.000
0.000 0.000 14.975
La Nd Sb
4 12 4
Direct
0.168 0.250 0.005 La
0.332 0.750 0.505 La
0.668 0.250 0.495 La
0.832 0.750 0.995 La
0.059 0.250 0.417 Nd
0.069 0.750 0.207 Nd
0.186 0.750 0.790 Nd
0.314 0.250 0.290 Nd
0.431 0.250 0.707 Nd
0.441 0.750 0.917 Nd
0.559 0.250 0.083 Nd
0.569 0.750 0.293 Nd
0.686 0.750 0.710 Nd
0.814 0.250 0.210 Nd
0.931 0.250 0.793 Nd
0.941 0.750 0.583 Nd
0.159 0.250 0.625 Sb
0.341 0.750 0.125 Sb
0.659 0.250 0.875 Sb
0.841 0.750 0.375 Sb
```

Principal peaks in the range 2θ from 15° to 90°, in order of falling intensity:
(2 1 2), 29.6 deg, intensity 100; (1 1 3), 29.3 deg, intensity 87; (1 0 5), 30.9 deg, intensity 60; (4 0 1), 32.7 deg, intensity 52; (2 1 3), 32.5 deg, intensity 47; (3 1 2), 34.7 deg, intensity 38